Tm3ZrSc2: theoretical XRD peak list (Cu Ka), based on a DFT-relaxed cell (GGA-PBE, Alexandria).
Neutral-atom scattering factors, no anomalous dispersion.

The 8 most intense peaks (10 to 90 degrees two-theta), in order of rising 2θ:
2θ = 19.2°, d 4.622, I = 39; 2θ = 32.4°, d 2.761, I = 55; 2θ = 32.7°, d 2.740, I = 25; 2θ = 33.3°, d 2.691, I = 56; 2θ = 33.8°, d 2.654, I = 100; 2θ = 34.2°, d 2.625, I = 100; 2θ = 47.2°, d 1.927, I = 42; 2θ = 61.7°, d 1.503, I = 24

Cell and atoms:
Cell lengths 6.380, 6.380, 10.866 Å; angles 105.66, 105.66, 49.91 degrees
Atoms (fractional coordinates):
1 Tm 0.123 0.123 0.282
2 Tm 0.138 0.138 0.960
3 Tm 0.372 0.372 0.525
4 Tm 0.628 0.628 0.475
5 Tm 0.862 0.862 0.040
6 Tm 0.877 0.877 0.718
7 Zr 0.399 0.399 0.218
8 Zr 0.601 0.601 0.782
9 Sc 0.136 0.136 0.647
10 Sc 0.384 0.384 0.890
11 Sc 0.616 0.616 0.110
12 Sc 0.864 0.864 0.353



HfTcHPb2: theoretical XRD peak list (Cu Ka), based on a DFT-relaxed cell (GGA-PBE, Alexandria).
Neutral-atom scattering factors, no anomalous dispersion.

The 8 most intense peaks (10 to 90 degrees two-theta), in order of rising 2θ:
2θ = 35.6°, d 2.520, I = 51; 2θ = 35.9°, d 2.502, I = 100; 2θ = 51.3°, d 1.782, I = 18; 2θ = 52.0°, d 1.757, I = 9; 2θ = 64.2°, d 1.451, I = 38; 2θ = 64.7°, d 1.441, I = 18; 2θ = 76.1°, d 1.251, I = 12; 2θ = 86.3°, d 1.127, I = 9

Cell and atoms:
Cell lengths 5.039, 5.039, 3.514 Å; angles 90.00, 90.00, 90.00 degrees
Atoms (fractional coordinates):
1 Hf 0.000 0.000 0.000
2 Tc 0.500 0.500 0.000
3 H 0.500 0.500 0.500
4 Pb 0.000 0.500 0.500
5 Pb 0.500 0.000 0.500



Ac6La2Nd: theoretical XRD peak list (Cu Ka), based on a DFT-relaxed cell (GGA-PBE, Alexandria).
Neutral-atom scattering factors, no anomalous dispersion.

The 8 most intense peaks (10 to 90 degrees two-theta), in order of rising 2θ:
2θ = 26.3°, d 3.391, I = 47; 2θ = 27.6°, d 3.233, I = 45; 2θ = 29.1°, d 3.074, I = 58; 2θ = 30.5°, d 2.930, I = 100; 2θ = 38.5°, d 2.340, I = 31; 2θ = 46.4°, d 1.958, I = 38; 2θ = 51.6°, d 1.772, I = 34; 2θ = 54.8°, d 1.675, I = 42

Cell and atoms:
Cell lengths 3.916, 3.916, 29.095 Å; angles 90.00, 90.00, 120.00 degrees
Atoms (fractional coordinates):
1 Ac 0.000 0.000 0.065
2 Ac 0.000 0.000 0.281
3 Ac 0.000 0.000 0.719
4 Ac 0.000 0.000 0.935
5 Ac 0.333 0.667 0.394
6 Ac 0.333 0.667 0.606
7 La 0.333 0.667 0.171
8 La 0.333 0.667 0.829
9 Nd 0.000 0.000 0.500



La7Tb2Nd3: theoretical XRD peak list (Cu Ka), based on a DFT-relaxed cell (GGA-PBE, Alexandria).
Neutral-atom scattering factors, no anomalous dispersion.

The 8 most intense peaks (10 to 90 degrees two-theta), in order of rising 2θ:
2θ = 28.9°, d 3.089, I = 54; 2θ = 29.7°, d 3.012, I = 80; 2θ = 29.9°, d 2.991, I = 100; 2θ = 30.4°, d 2.938, I = 95; 2θ = 32.4°, d 2.763, I = 66; 2θ = 33.9°, d 2.647, I = 86; 2θ = 48.4°, d 1.879, I = 39; 2θ = 51.1°, d 1.788, I = 34

Cell and atoms:
Cell lengths 6.604, 3.609, 18.044 Å; angles 90.00, 95.85, 90.00 degrees
Atoms (fractional coordinates):
1 La 0.000 0.000 0.000
2 La 0.222 0.500 0.171
3 La 0.260 0.500 0.491
4 La 0.272 0.000 0.831
5 La 0.728 0.000 0.169
6 La 0.740 0.500 0.509
7 La 0.778 0.500 0.829
8 Tb 0.057 0.500 0.669
9 Tb 0.943 0.500 0.331
10 Nd 0.455 0.000 0.336
11 Nd 0.500 0.500 0.000
12 Nd 0.545 0.000 0.664



Y2SiCO7: theoretical XRD peak list (Cu Ka), based on a DFT-relaxed cell (GGA-PBE, Alexandria).
Neutral-atom scattering factors, no anomalous dispersion.

The 8 most intense peaks (10 to 90 degrees two-theta), in order of rising 2θ:
2θ = 19.3°, d 4.602, I = 58; 2θ = 29.2°, d 3.062, I = 68; 2θ = 29.9°, d 2.986, I = 72; 2θ = 30.7°, d 2.911, I = 100; 2θ = 31.1°, d 2.876, I = 50; 2θ = 31.8°, d 2.813, I = 64; 2θ = 32.8°, d 2.733, I = 63; 2θ = 52.2°, d 1.753, I = 46

Cell and atoms:
Cell lengths 6.533, 6.653, 6.724 Å; angles 95.65, 116.36, 92.72 degrees
Atoms (fractional coordinates):
1 Y 0.246 0.330 0.313
2 Y 0.249 0.085 0.799
3 Y 0.751 0.915 0.201
4 Y 0.754 0.670 0.687
5 Si 0.235 0.841 0.257
6 Si 0.765 0.159 0.743
7 C 0.304 0.589 0.766
8 C 0.696 0.411 0.234
9 O 0.023 0.246 0.940
10 O 0.154 0.714 0.750
11 O 0.168 0.015 0.411
12 O 0.236 0.402 0.666
13 O 0.369 0.666 0.404
14 O 0.386 0.965 0.158
15 O 0.479 0.352 0.124
16 O 0.521 0.648 0.876
17 O 0.614 0.035 0.842
18 O 0.631 0.334 0.596
19 O 0.764 0.598 0.334
20 O 0.832 0.985 0.589
21 O 0.846 0.286 0.250
22 O 0.977 0.754 0.060



Ga2HgAuO: theoretical XRD peak list (Cu Ka), based on a DFT-relaxed cell (GGA-PBE, Alexandria).
Neutral-atom scattering factors, no anomalous dispersion.

The 8 most intense peaks (10 to 90 degrees two-theta), in order of rising 2θ:
2θ = 18.2°, d 4.886, I = 100; 2θ = 25.8°, d 3.455, I = 22; 2θ = 33.8°, d 2.653, I = 25; 2θ = 36.8°, d 2.443, I = 39; 2θ = 38.6°, d 2.331, I = 32; 2θ = 41.3°, d 2.185, I = 27; 2θ = 50.8°, d 1.797, I = 31; 2θ = 54.4°, d 1.687, I = 24

Cell and atoms:
Cell lengths 4.886, 4.886, 5.306 Å; angles 90.00, 90.00, 90.00 degrees
Atoms (fractional coordinates):
1 Ga 0.000 0.500 0.000
2 Ga 0.500 0.000 0.000
3 Hg 0.000 0.000 0.500
4 Au 0.000 0.000 0.000
5 O 0.500 0.500 0.500



Na8Sr3: theoretical XRD peak list (Cu Ka), based on a DFT-relaxed cell (GGA-PBE, Alexandria).
Neutral-atom scattering factors, no anomalous dispersion.

The 8 most intense peaks (10 to 90 degrees two-theta), in order of rising 2θ:
2θ = 15.0°, d 5.922, I = 30; 2θ = 21.9°, d 4.065, I = 33; 2θ = 23.9°, d 3.722, I = 20; 2θ = 28.3°, d 3.149, I = 100; 2θ = 29.0°, d 3.084, I = 99; 2θ = 29.1°, d 3.073, I = 98; 2θ = 50.5°, d 1.807, I = 34; 2θ = 51.8°, d 1.765, I = 39

Cell and atoms:
Cell lengths 7.335, 7.335, 16.084 Å; angles 104.31, 104.31, 33.77 degrees
Atoms (fractional coordinates):
1 Na 0.046 0.046 0.313
2 Na 0.152 0.152 0.937
3 Na 0.247 0.247 0.595
4 Na 0.333 0.333 0.246
5 Na 0.667 0.667 0.754
6 Na 0.753 0.753 0.405
7 Na 0.848 0.848 0.063
8 Na 0.954 0.954 0.687
9 Sr 0.408 0.408 0.874
10 Sr 0.500 0.500 0.500
11 Sr 0.592 0.592 0.126



V5TcRu2: theoretical XRD peak list (Cu Ka), based on a DFT-relaxed cell (GGA-PBE, Alexandria).
Neutral-atom scattering factors, no anomalous dispersion.

The 8 most intense peaks (10 to 90 degrees two-theta), in order of rising 2θ:
2θ = 20.9°, d 4.250, I = 8; 2θ = 29.7°, d 3.010, I = 11; 2θ = 42.5°, d 2.129, I = 50; 2θ = 42.6°, d 2.123, I = 100; 2θ = 61.6°, d 1.505, I = 16; 2θ = 62.0°, d 1.497, I = 8; 2θ = 77.8°, d 1.228, I = 31; 2θ = 78.0°, d 1.224, I = 15

Cell and atoms:
Cell lengths 5.204, 5.204, 5.204 Å; angles 109.32, 109.32, 109.77 degrees
Atoms (fractional coordinates):
1 V 0.000 0.000 0.000
2 V 0.000 0.000 0.500
3 V 0.000 0.500 0.000
4 V 0.500 0.000 0.000
5 V 0.500 0.500 0.500
6 Tc 0.500 0.500 0.000
7 Ru 0.000 0.500 0.500
8 Ru 0.500 0.000 0.500



TmSc3Ni8: theoretical XRD peak list (Cu Ka), based on a DFT-relaxed cell (GGA-PBE, Alexandria).
Neutral-atom scattering factors, no anomalous dispersion.

The 8 most intense peaks (10 to 90 degrees two-theta), in order of rising 2θ:
2θ = 11.0°, d 8.024, I = 24; 2θ = 23.6°, d 3.773, I = 29; 2θ = 36.4°, d 2.468, I = 32; 2θ = 39.8°, d 2.267, I = 74; 2θ = 43.0°, d 2.102, I = 100; 2θ = 43.8°, d 2.065, I = 86; 2θ = 67.8°, d 1.383, I = 28; 2θ = 73.8°, d 1.283, I = 27

Cell and atoms:
Cell lengths 4.936, 4.936, 8.024 Å; angles 90.00, 90.00, 120.00 degrees
Atoms (fractional coordinates):
1 Tm 0.000 0.000 0.000
2 Sc 0.000 0.000 0.377
3 Sc 0.667 0.333 0.495
4 Sc 0.667 0.333 0.864
5 Ni 0.166 0.332 0.682
6 Ni 0.166 0.834 0.682
7 Ni 0.333 0.667 0.434
8 Ni 0.333 0.667 0.934
9 Ni 0.502 0.003 0.188
10 Ni 0.502 0.498 0.188
11 Ni 0.668 0.834 0.682
12 Ni 0.997 0.498 0.188



Nb2CoPbS: theoretical XRD peak list (Cu Ka), based on a DFT-relaxed cell (GGA-PBE, Alexandria).
Neutral-atom scattering factors, no anomalous dispersion.

The 8 most intense peaks (10 to 90 degrees two-theta), in order of rising 2θ:
2θ = 16.7°, d 5.320, I = 68; 2θ = 17.4°, d 5.095, I = 90; 2θ = 24.2°, d 3.680, I = 100; 2θ = 33.7°, d 2.660, I = 98; 2θ = 35.2°, d 2.548, I = 43; 2θ = 38.2°, d 2.358, I = 52; 2θ = 41.9°, d 2.156, I = 49; 2θ = 49.5°, d 1.840, I = 65

Cell and atoms:
Cell lengths 5.320, 5.320, 5.095 Å; angles 90.00, 90.00, 90.00 degrees
Atoms (fractional coordinates):
1 Nb 0.000 0.500 0.000
2 Nb 0.500 0.000 0.000
3 Co 0.000 0.000 0.500
4 Pb 0.500 0.500 0.000
5 S 0.500 0.500 0.500



AcGa2SnPt: theoretical XRD peak list (Cu Ka), based on a DFT-relaxed cell (GGA-PBE, Alexandria).
Neutral-atom scattering factors, no anomalous dispersion.

The 8 most intense peaks (10 to 90 degrees two-theta), in order of rising 2θ:
2θ = 27.4°, d 3.255, I = 33; 2θ = 31.2°, d 2.871, I = 47; 2θ = 31.6°, d 2.832, I = 41; 2θ = 32.0°, d 2.794, I = 100; 2θ = 38.4°, d 2.343, I = 38; 2θ = 39.9°, d 2.262, I = 34; 2θ = 51.4°, d 1.777, I = 27; 2θ = 56.6°, d 1.627, I = 25

Cell and atoms:
Cell lengths 6.347, 6.347, 6.347 Å; angles 138.24, 136.67, 61.74 degrees
Atoms (fractional coordinates):
1 Ac 0.000 0.000 0.000
2 Ga 0.413 0.413 0.000
3 Ga 0.756 0.256 0.500
4 Sn 0.257 0.757 0.500
5 Pt 0.640 0.640 0.000



LaEr2Zn9: theoretical XRD peak list (Cu Ka), based on a DFT-relaxed cell (GGA-PBE, Alexandria).
Neutral-atom scattering factors, no anomalous dispersion.

The 8 most intense peaks (10 to 90 degrees two-theta), in order of rising 2θ:
2θ = 30.7°, d 2.912, I = 36; 2θ = 32.6°, d 2.747, I = 49; 2θ = 33.6°, d 2.667, I = 31; 2θ = 38.0°, d 2.369, I = 36; 2θ = 38.9°, d 2.314, I = 100; 2θ = 62.4°, d 1.488, I = 24; 2θ = 63.9°, d 1.456, I = 20; 2θ = 68.3°, d 1.373, I = 23

Cell and atoms:
Cell lengths 9.157, 9.157, 9.157 Å; angles 34.91, 34.91, 34.91 degrees
Atoms (fractional coordinates):
1 La 0.000 0.000 0.000
2 Er 0.142 0.142 0.142
3 Er 0.858 0.858 0.858
4 Zn 0.076 0.588 0.588
5 Zn 0.335 0.335 0.335
6 Zn 0.412 0.412 0.924
7 Zn 0.412 0.924 0.412
8 Zn 0.500 0.500 0.500
9 Zn 0.588 0.076 0.588
10 Zn 0.588 0.588 0.076
11 Zn 0.665 0.665 0.665
12 Zn 0.924 0.412 0.412



Na2Cd2Se3: theoretical XRD peak list (Cu Ka), based on a DFT-relaxed cell (GGA-PBE, Alexandria).
Neutral-atom scattering factors, no anomalous dispersion.

The 8 most intense peaks (10 to 90 degrees two-theta), in order of rising 2θ:
2θ = 12.4°, d 7.128, I = 77; 2θ = 18.2°, d 4.882, I = 48; 2θ = 22.1°, d 4.025, I = 82; 2θ = 23.4°, d 3.803, I = 50; 2θ = 33.6°, d 2.669, I = 100; 2θ = 37.9°, d 2.372, I = 45; 2θ = 40.3°, d 2.236, I = 99; 2θ = 44.3°, d 2.046, I = 68

Cell and atoms:
Cell lengths 10.764, 10.764, 7.606 Å; angles 110.65, 110.65, 82.74 degrees
Atoms (fractional coordinates):
1 Na 0.076 0.924 0.750
2 Na 0.223 0.777 0.250
3 Na 0.316 0.480 0.354
4 Na 0.480 0.316 0.854
5 Na 0.520 0.684 0.146
6 Na 0.684 0.520 0.646
7 Na 0.777 0.223 0.750
8 Na 0.924 0.076 0.250
9 Cd 0.057 0.584 0.744
10 Cd 0.131 0.283 0.800
11 Cd 0.283 0.131 0.300
12 Cd 0.416 0.943 0.756
13 Cd 0.584 0.057 0.244
14 Cd 0.717 0.869 0.700
15 Cd 0.869 0.717 0.200
16 Cd 0.943 0.416 0.256
17 Se 0.059 0.206 0.053
18 Se 0.096 0.644 0.450
19 Se 0.206 0.059 0.553
20 Se 0.280 0.501 0.967
21 Se 0.356 0.904 0.050
22 Se 0.499 0.720 0.533
23 Se 0.501 0.280 0.467
24 Se 0.644 0.096 0.950
25 Se 0.720 0.499 0.033
26 Se 0.794 0.941 0.447
27 Se 0.904 0.356 0.550
28 Se 0.941 0.794 0.947